(1)
The following is a calculated X-ray powder pattern of NaReP2Ru. It was derived from a structure optimized by DFT (GGA-PBE), using Cu Kα X-rays.
Lines closer than 0.1° are merged.

Most intense lines, 2θ = 10–90°, low angle first:
| d (Å) | 2theta | Rel. int. |
| --- | --- | --- |
| 4.700 | 18.88 | 95 |
| 2.909 | 30.74 | 33 |
| 2.473 | 36.32 | 100 |
| 2.057 | 44.03 | 42 |
| 1.884 | 48.30 | 33 |
| 1.828 | 49.89 | 44 |

Atomic structure:
abc: 5.527 5.527 5.527
angles: 136.31 136.31 63.51
Positions (direct):
1 Na 0.000 0.000 0.000
2 Re 0.250 0.750 0.500
3 P 0.372 0.372 0.000
4 P 0.628 0.628 0.000
5 Ru 0.750 0.250 0.500

---

(2)
The following is a calculated X-ray powder pattern of Ti4Re3Pt. It was derived from a structure optimized by DFT (GGA-PBE), using Cu Kα X-rays.
Lines closer than 0.1° are merged.

Most intense lines, 2θ = 10–90°, low angle first:
| d (Å) | 2theta | Rel. int. |
| --- | --- | --- |
| 3.135 | 28.47 | 18 |
| 3.119 | 28.62 | 36 |
| 2.211 | 40.81 | 100 |
| 2.199 | 41.04 | 20 |
| 1.559 | 59.26 | 13 |
| 1.277 | 74.30 | 20 |

Atomic structure:
abc: 3.135 4.423 8.796
angles: 90.00 90.00 90.00
Positions (direct):
1 Ti 0.000 0.000 0.000
2 Ti 0.000 0.000 0.500
3 Ti 0.000 0.500 0.243
4 Ti 0.000 0.500 0.757
5 Re 0.500 0.000 0.254
6 Re 0.500 0.000 0.746
7 Re 0.500 0.500 0.000
8 Pt 0.500 0.500 0.500

---

(3)
The following is a calculated X-ray powder pattern of Pm2GeB2Ru5. It was derived from a structure optimized by DFT (GGA-PBE), using Cu Kα X-rays.
Lines closer than 0.1° are merged.

Most intense lines, 2θ = 10–90°, low angle first:
| d (Å) | 2theta | Rel. int. |
| --- | --- | --- |
| 2.539 | 35.36 | 92 |
| 2.350 | 38.30 | 98 |
| 2.312 | 38.96 | 38 |
| 2.190 | 41.21 | 100 |
| 2.166 | 41.69 | 34 |
| 2.040 | 44.42 | 32 |

Atomic structure:
abc: 9.688 9.688 3.133
angles: 90.00 90.00 90.00
Positions (direct):
1 Pm 0.177 0.323 0.000
2 Pm 0.323 0.823 0.000
3 Pm 0.677 0.177 0.000
4 Pm 0.823 0.677 0.000
5 Ge 0.000 0.000 0.000
6 Ge 0.500 0.500 0.000
7 B 0.122 0.622 0.000
8 B 0.378 0.122 0.000
9 B 0.622 0.878 0.000
10 B 0.878 0.378 0.000
11 Ru 0.000 0.500 0.500
12 Ru 0.068 0.782 0.500
13 Ru 0.218 0.068 0.500
14 Ru 0.282 0.568 0.500
15 Ru 0.432 0.282 0.500
16 Ru 0.500 0.000 0.500
17 Ru 0.568 0.718 0.500
18 Ru 0.718 0.432 0.500
19 Ru 0.782 0.932 0.500
20 Ru 0.932 0.218 0.500